Diffraction record for PuVGaO6. The powder diffraction line list is theoretical, not measured: it uses a DFT-relaxed cell (GGA+U, Alexandria) and a wavelength of 1.5418 Å.
Peak positions follow from Bragg's law for the DFT cell and can differ from measured ones.

Largest 12 diffraction maxima, most intense first, 10 to 80 degrees two-theta:
2θ/deg, I_rel, h k l
28.12, 100, 1 0 2
19.80, 88, 0 0 2
22.12, 77, 1 0 1
40.15, 73, 1 1 2
34.56, 66, 1 1 0
54.09, 62, 1 1 4
58.07, 29, 3 -1 2
45.13, 27, 2 0 2
36.12, 25, 1 0 3
61.92, 24, 3 0 0
41.41, 18, 2 0 1
65.70, 16, 3 0 2

Structural model:
Cell lengths 5.1913, 5.1913, 8.9565 Å; angles 90.00, 90.00, 120.00 degrees
Space group P-31c (No. 163)
Inequivalent atoms, fractional coordinates:
Pu1 0.3333 0.6667 0.2500
V1 0.0000 0.0000 0.0000
Ga1 0.3333 0.6667 0.7500
O1 0.0108 0.3343 0.6278